(1)
Starting from the PBE geometry in the Materials Project, the powder X-ray diffraction pattern of W2C was simulated for Cu Kα.
No peak broadening, texture or thermal motion is included.

Crystal structure
a b c (Å): 3.0700 3.0700 4.6784
angles (deg): 90.00 90.00 120.00
Space group P-3m1 (No. 164)
Symmetry-distinct sites (fractional):
W 0.3333 0.6667 0.2463 [2 per cell]
C 0.0000 0.0000 0.5000 [1 per cell]

Top 6 peaks for 5° ≤ 2θ ≤ 70°, sorted by position:
hkl  2theta  I (rel.)
1 0 0  33.7  22
0 0 2  38.5  22
1 0 1  39.0  100
0 1 2  52.1  16
1 1 0  60.3  20
1 0 3  69.9  18

=====

(2)
Starting from the PBE geometry in the Materials Project, the powder X-ray diffraction pattern of La2CuSe2O was simulated for Cu Kα.
No peak broadening, texture or thermal motion is included.

Crystal structure
a b c (Å): 3.775 3.775 14.340
angles (deg): 90.00 90.00 90.00
Space group P4/mmm (No. 123)
Symmetry-distinct sites (fractional):
La 0.000 0.000 0.148 [2 per cell]
Cu 0.000 0.000 0.500 [1 per cell]
Se 0.000 0.000 0.345 [2 per cell]
O 0.000 0.000 0.000 [1 per cell]

Top 6 peaks for 5° ≤ 2θ ≤ 70°, sorted by position:
hkl  2theta  I (rel.)
1 0 0  23.6  100
1 1 0  33.6  40
1 0 4  34.5  19
1 0 6  44.9  25
1 1 6  51.3  16
2 1 0  54.3  20

=====

(3)
Starting from the PBE geometry in the Materials Project, the powder X-ray diffraction pattern of LiDy2Os was simulated for Cu Kα.
No peak broadening, texture or thermal motion is included.

Crystal structure
a b c (Å): 6.923 6.923 6.923
angles (deg): 90.00 90.00 90.00
Space group Fm-3m (No. 225)
Symmetry-distinct sites (fractional):
Li 0.000 0.000 0.000 [4 per cell]
Dy 0.250 0.250 0.250 [8 per cell]
Os 0.000 0.000 0.500 [4 per cell]

Top 6 peaks for 5° ≤ 2θ ≤ 70°, sorted by position:
hkl  2theta  I (rel.)
1 1 1  22.2  30
2 0 0  25.7  8
2 2 0  36.7  100
3 1 1  43.3  16
4 0 0  52.9  18
4 2 2  66.1  36

=====

> What is the formula in the first record?

W2C